Diffraction record for VAgSb. The X-ray diffraction stick pattern is calculated, not measured: it uses the GGA-PBE geometry in Alexandria and Cu Kα (λ = 1.5418 Å).

Structural model:
```
6
Lattice="4.3513 -1.6876 0.0000 4.3513 1.6876 0.0000 -3.5113 0.0000 7.9586" Properties=species:S:1:pos:R:3 pbc="T T T"
V 1.2991 0.0000 0.4379
V 3.8921 0.0000 7.5207
Ag 1.3777 0.0000 3.3062
Ag 3.8134 0.0000 4.6524
Sb 1.4322 0.0000 6.2912
Sb 3.7589 0.0000 1.6674
```

Peak list (12 most intense, 2θ = 10–80°, in order of falling intensity)
| 2θ (°) | d (Å) | Rel. int. |
| --- | --- | --- |
| 41.1 | 2.196 | 100 |
| 28.7 | 3.108 | 56 |
| 37.9 | 2.375 | 46 |
| 41.8 | 2.163 | 40 |
| 39.5 | 2.281 | 29 |
| 32.1 | 2.787 | 28 |
| 29.2 | 3.063 | 20 |
| 42.1 | 2.148 | 18 |
| 70.6 | 1.334 | 17 |
| 54.4 | 1.688 | 16 |
| 70.8 | 1.331 | 15 |
| 68.2 | 1.376 | 15 |



Diffraction record for Np2TiO11. The X-ray diffraction stick pattern is calculated, not measured: it uses the GGA-PBE geometry in Alexandria and Cu Kα (λ = 1.5418 Å).

Structural model:
```
28
Lattice="-4.2178 5.1106 5.1912 4.2178 -5.1106 5.1912 4.2178 5.1106 -5.1912" Properties=species:S:1:pos:R:3 pbc="T T T"
Np 1.5782 2.3610 0.0000
Np 5.7960 2.7495 0.0000
Np -1.5782 2.3610 5.1912
Np 2.6395 2.7495 5.1912
Ti 0.0000 0.0000 2.5956
Ti 0.0000 0.0000 7.7868
O 4.2178 0.0000 0.0000
O 3.2906 4.0280 -3.7741
O 6.3707 1.6125 -1.3182
O 3.7641 1.5933 0.0000
O 2.1529 3.4981 -1.3182
O 0.9272 1.0826 1.4171
O 0.9272 -1.0826 3.7741
O 6.3707 1.6125 1.3182
O 3.7641 -1.5933 5.1912
O 3.2906 6.1932 -1.4171
O 2.1529 3.4981 1.3182
O 0.0000 5.1106 0.0000
O 2.0649 1.6125 3.8730
O 0.9272 -1.0826 6.6083
O 0.4537 6.7039 0.0000
O -2.1529 3.4981 3.8730
O 3.2906 6.1932 1.4171
O 3.2906 4.0280 3.7741
O 2.0649 1.6125 6.5094
O 0.4537 3.5173 5.1912
O -2.1529 3.4981 6.5094
O 0.9272 1.0826 8.9653
```

Peak list (12 most intense, 2θ = 10–80°, in order of falling intensity)
| 2θ (°) | d (Å) | Rel. int. |
| --- | --- | --- |
| 24.4 | 3.646 | 100 |
| 17.1 | 5.191 | 51 |
| 17.4 | 5.111 | 39 |
| 44.7 | 2.027 | 30 |
| 27.4 | 3.253 | 26 |
| 27.2 | 3.274 | 18 |
| 32.5 | 2.757 | 16 |
| 51.5 | 1.774 | 15 |
| 34.7 | 2.588 | 14 |
| 34.9 | 2.568 | 13 |
| 43.0 | 2.104 | 13 |
| 21.1 | 4.218 | 13 |



Diffraction record for Rb3AuF6. The X-ray diffraction stick pattern is calculated, not measured: it uses the GGA-PBE geometry in Alexandria and Cu Kα (λ = 1.5418 Å).

Structural model:
```
20
Lattice="6.1793 0.0000 0.0000 0.0000 6.1816 0.0000 -6.1781 0.0000 11.0681" Properties=species:S:1:pos:R:3 pbc="T T T"
Rb 0.0000 0.0000 0.0000
Rb -3.0890 3.0908 5.5340
Rb -3.0930 0.0064 8.3009
Rb -0.0040 3.0844 2.7668
Rb 0.0052 3.0972 8.3012
Rb 3.0942 6.1752 2.7672
Au 0.0006 0.0000 5.5340
Au 3.0896 3.0908 0.0000
F 1.2052 3.6682 0.0133
F -1.8839 5.6042 5.5474
F -0.0098 0.0075 2.6945
F -3.0988 3.0833 8.2286
F 2.5129 1.2065 0.0098
F -0.5762 1.8843 5.5438
F 0.5774 4.2973 5.5242
F -2.5117 4.9751 11.0583
F 3.1000 3.0983 2.8395
F 0.0109 6.1741 8.3735
F 1.8851 0.5774 5.5207
F -1.2040 2.5134 11.0547
```

Peak list (12 most intense, 2θ = 10–80°, in order of falling intensity)
| 2θ (°) | d (Å) | Rel. int. |
| --- | --- | --- |
| 26.0 | 3.430 | 100 |
| 28.9 | 3.090 | 58 |
| 49.5 | 1.843 | 46 |
| 43.9 | 2.061 | 36 |
| 32.4 | 2.767 | 32 |
| 16.4 | 5.396 | 30 |
| 41.3 | 2.185 | 21 |
| 53.4 | 1.715 | 20 |
| 70.2 | 1.341 | 17 |
| 77.2 | 1.236 | 16 |
| 67.8 | 1.382 | 14 |
| 54.0 | 1.699 | 14 |



Diffraction record for CaIn2Pb2. The X-ray diffraction stick pattern is calculated, not measured: it uses the GGA-PBE geometry in Alexandria and Cu Kα (λ = 1.5418 Å).

Structural model:
```
10
Lattice="2.4829 -12.1554 0.0000 2.4829 12.1554 0.0000 0.0000 0.0000 4.7788" Properties=species:S:1:pos:R:3 pbc="T T T"
Ca 2.4829 8.6729 3.5841
Ca 2.4829 -8.6729 1.1947
In 2.4829 11.0921 1.1947
In 2.4829 1.1216 1.1947
In 2.4829 -1.1216 3.5841
In 2.4829 -11.0921 3.5841
Pb 2.4829 6.0973 1.1947
Pb 2.4829 3.5353 3.5841
Pb 2.4829 -3.5353 1.1947
Pb 2.4829 -6.0973 3.5841
```

Peak list (12 most intense, 2θ = 10–80°, in order of falling intensity)
| 2θ (°) | d (Å) | Rel. int. |
| --- | --- | --- |
| 31.8 | 2.810 | 100 |
| 36.2 | 2.483 | 18 |
| 37.6 | 2.389 | 16 |
| 37.0 | 2.431 | 16 |
| 62.4 | 1.489 | 15 |
| 64.3 | 1.448 | 14 |
| 53.2 | 1.722 | 12 |
| 63.4 | 1.466 | 12 |
| 52.7 | 1.737 | 12 |
| 66.6 | 1.405 | 12 |
| 53.8 | 1.704 | 11 |
| 20.0 | 4.447 | 8 |



Diffraction record for MgCuO2. The X-ray diffraction stick pattern is calculated, not measured: it uses the GGA-PBE geometry in Alexandria and Cu Kα (λ = 1.5418 Å).

Structural model:
```
8
Lattice="3.0446 -4.1668 0.0000 3.0446 4.1668 0.0000 0.0000 0.0000 3.0598" Properties=species:S:1:pos:R:3 pbc="T T T"
Mg 0.0000 0.0000 0.0000
Mg 3.0446 0.0000 0.0000
Cu 1.5223 2.0834 1.5299
Cu 1.5223 -2.0834 1.5299
O 1.5223 0.0000 1.5299
O 3.0446 2.0834 2.7708
O 3.0446 -2.0834 0.2889
O 4.5669 0.0000 1.5299
```

Peak list (12 most intense, 2θ = 10–80°, in order of falling intensity)
| 2θ (°) | d (Å) | Rel. int. |
| --- | --- | --- |
| 41.9 | 2.158 | 100 |
| 61.9 | 1.499 | 54 |
| 43.4 | 2.083 | 46 |
| 36.4 | 2.466 | 41 |
| 36.6 | 2.458 | 37 |
| 21.3 | 4.167 | 36 |
| 29.2 | 3.060 | 19 |
| 29.3 | 3.045 | 17 |
| 60.9 | 1.522 | 15 |
| 47.4 | 1.916 | 15 |
| 72.8 | 1.299 | 13 |
| 77.7 | 1.229 | 13 |



Diffraction record for Sr4ScHg5. The X-ray diffraction stick pattern is calculated, not measured: it uses the GGA-PBE geometry in Alexandria and Cu Kα (λ = 1.5418 Å).

Structural model:
```
10
Lattice="3.8648 0.0000 0.0000 0.0000 3.8648 0.0000 0.0000 0.0000 19.8053" Properties=species:S:1:pos:R:3 pbc="T T T"
Sr 0.0000 0.0000 2.0776
Sr 0.0000 0.0000 6.2122
Sr 0.0000 0.0000 13.5931
Sr 0.0000 0.0000 17.7277
Sc 0.0000 0.0000 9.9026
Hg 1.9324 1.9324 0.0000
Hg 1.9324 1.9324 4.1341
Hg 1.9324 1.9324 8.3463
Hg 1.9324 1.9324 11.4590
Hg 1.9324 1.9324 15.6712
```

Peak list (12 most intense, 2θ = 10–80°, in order of falling intensity)
| 2θ (°) | d (Å) | Rel. int. |
| --- | --- | --- |
| 32.4 | 2.766 | 100 |
| 32.8 | 2.733 | 58 |
| 58.2 | 1.584 | 38 |
| 23.0 | 3.865 | 25 |
| 47.0 | 1.932 | 21 |
| 57.5 | 1.604 | 11 |
| 29.3 | 3.047 | 10 |
| 78.2 | 1.222 | 10 |
| 22.4 | 3.961 | 10 |
| 53.5 | 1.714 | 10 |
| 40.1 | 2.249 | 9 |
| 70.9 | 1.328 | 9 |



Diffraction record for YEr4Te5. The X-ray diffraction stick pattern is calculated, not measured: it uses the GGA-PBE geometry in Alexandria and Cu Kα (λ = 1.5418 Å).

Structural model:
```
10
Lattice="-2.1420 2.1420 15.6848 2.1420 -2.1420 15.6848 2.1420 2.1420 -15.6848" Properties=species:S:1:pos:R:3 pbc="T T T"
Y 0.0000 0.0000 0.0000
Er 0.0000 0.0000 6.6024
Er 0.0000 0.0000 12.7562
Er 0.0000 0.0000 18.6135
Er 0.0000 0.0000 24.7672
Te 0.0000 0.0000 3.2573
Te 0.0000 0.0000 9.6371
Te 0.0000 0.0000 15.6848
Te 0.0000 0.0000 21.7325
Te 0.0000 0.0000 28.1123
```

Peak list (12 most intense, 2θ = 10–80°, in order of falling intensity)
| 2θ (°) | d (Å) | Rel. int. |
| --- | --- | --- |
| 29.5 | 3.029 | 100 |
| 41.4 | 2.179 | 65 |
| 28.5 | 3.137 | 45 |
| 42.2 | 2.142 | 38 |
| 51.7 | 1.769 | 34 |
| 76.6 | 1.244 | 21 |
| 69.4 | 1.355 | 17 |
| 37.9 | 2.374 | 14 |
| 68.8 | 1.364 | 14 |
| 61.2 | 1.515 | 13 |
| 58.0 | 1.590 | 8 |
| 67.2 | 1.393 | 8 |



Diffraction record for K2PuSe2Br2. The X-ray diffraction stick pattern is calculated, not measured: it uses the GGA-PBE geometry in Alexandria and Cu Kα (λ = 1.5418 Å).

Structural model:
```
7
Lattice="-2.7401 2.7401 8.4699 2.7401 -2.7401 8.4699 2.7401 2.7401 -8.4699" Properties=species:S:1:pos:R:3 pbc="T T T"
K 0.0000 0.0000 2.2875
K 0.0000 0.0000 14.6523
Pu 0.0000 0.0000 8.4699
Se 2.7401 0.0000 0.0000
Se 0.0000 2.7401 0.0000
Br 0.0000 0.0000 5.5829
Br 0.0000 0.0000 11.3568
```

Peak list (12 most intense, 2θ = 10–80°, in order of falling intensity)
| 2θ (°) | d (Å) | Rel. int. |
| --- | --- | --- |
| 17.0 | 5.214 | 100 |
| 10.4 | 8.470 | 95 |
| 32.7 | 2.740 | 65 |
| 31.0 | 2.882 | 49 |
| 46.2 | 1.966 | 41 |
| 23.0 | 3.875 | 40 |
| 45.7 | 1.986 | 34 |
| 37.1 | 2.426 | 30 |
| 31.7 | 2.823 | 30 |
| 34.4 | 2.607 | 24 |
| 46.9 | 1.938 | 23 |
| 57.7 | 1.598 | 21 |